Entry 1:
For Tl2BiP2S7, a cell relaxed with GGA-PBE gives the calculated PXRD pattern in this record (Cu Kα X-rays).
Kinematic intensities with the Lorentz-polarization factor, no thermal factor.

Crystal structure
abc: 12.271 12.271 19.095
angles: 118.59 118.59 32.25
Sites, in units of the cell vectors:
Tl (0.023, 0.963, 0.618)
Tl (0.037, 0.977, 0.882)
Tl (0.321, 0.327, 0.973)
Tl (0.327, 0.321, 0.473)
Tl (0.673, 0.679, 0.527)
Tl (0.679, 0.673, 0.027)
Tl (0.963, 0.023, 0.118)
Tl (0.977, 0.037, 0.382)
Bi (0.286, 0.387, 0.253)
Bi (0.387, 0.286, 0.753)
Bi (0.613, 0.714, 0.247)
Bi (0.714, 0.613, 0.747)
P (0.165, 0.166, 0.138)
P (0.166, 0.165, 0.638)
P (0.430, 0.472, 0.192)
P (0.472, 0.430, 0.692)
P (0.528, 0.570, 0.308)
P (0.570, 0.528, 0.808)
P (0.834, 0.835, 0.362)
P (0.835, 0.834, 0.862)
S (0.129, 0.666, 0.412)
S (0.133, 0.676, 0.196)
S (0.140, 0.641, 0.893)
S (0.173, 0.262, 0.762)
S (0.184, 0.616, 0.698)
S (0.221, 0.243, 0.098)
S (0.243, 0.221, 0.598)
S (0.262, 0.173, 0.262)
S (0.324, 0.867, 0.304)
S (0.334, 0.871, 0.088)
S (0.359, 0.860, 0.607)
S (0.384, 0.816, 0.802)
S (0.454, 0.488, 0.102)
S (0.488, 0.454, 0.602)
S (0.512, 0.546, 0.398)
S (0.546, 0.512, 0.898)
S (0.616, 0.184, 0.198)
S (0.641, 0.140, 0.393)
S (0.666, 0.129, 0.912)
S (0.676, 0.133, 0.696)
S (0.738, 0.827, 0.738)
S (0.757, 0.779, 0.402)
S (0.779, 0.757, 0.902)
S (0.816, 0.384, 0.302)
S (0.827, 0.738, 0.238)
S (0.860, 0.359, 0.107)
S (0.867, 0.324, 0.804)
S (0.871, 0.334, 0.588)

Main lines, sorted by position (2θ from 15° to 90°):
- d 4.819, 18.41°, I = 1000
- d 4.492, 19.76°, I = 257
- d 3.767, 23.62°, I = 499
- d 3.517, 25.32°, I = 173
- d 3.408, 26.15°, I = 565
- d 3.306, 26.97°, I = 336
- d 2.952, 30.28°, I = 369
- d 2.919, 30.62°, I = 183
- d 2.715, 32.99°, I = 309
- d 2.409, 37.33°, I = 355
- d 2.368, 38.00°, I = 158
- d 2.155, 41.92°, I = 306

***

Entry 2:
For TiMnN2, a cell relaxed with GGA-PBE gives the calculated PXRD pattern in this record (Cu Kα X-rays).
Kinematic intensities with the Lorentz-polarization factor, no thermal factor.

Crystal structure
abc: 2.921 2.921 5.055
angles: 90.19 90.19 59.95
Sites, in units of the cell vectors:
Ti (0.000, 0.000, 0.000)
Mn (0.996, 0.996, 0.500)
N (0.332, 0.332, 0.259)
N (0.663, 0.663, 0.741)

Main lines, sorted by position (2θ from 15° to 90°):
- d 2.529, 35.50°, I = 1000
- d 2.265, 39.79°, I = 32
- d 2.260, 39.90°, I = 49
- d 1.790, 51.02°, I = 423
- d 1.786, 51.16°, I = 431
- d 1.460, 63.74°, I = 241
- d 1.266, 75.03°, I = 68
- d 1.264, 75.17°, I = 141
- d 1.263, 75.25°, I = 42
- d 1.133, 85.77°, I = 43
- d 1.131, 85.90°, I = 95
- d 1.130, 86.08°, I = 132

***

Entry 3:
For CeTlAg2, a cell relaxed with GGA-PBE gives the calculated PXRD pattern in this record (Cu Kα X-rays).
Kinematic intensities with the Lorentz-polarization factor, no thermal factor.

Crystal structure
abc: 5.107 5.107 5.107
angles: 60.00 60.00 60.00
Sites, in units of the cell vectors:
Ce (0.000, 0.000, 0.000)
Tl (0.500, 0.500, 0.500)
Ag (0.250, 0.250, 0.250)
Ag (0.750, 0.750, 0.750)

Main lines, sorted by position (2θ from 15° to 90°):
- d 4.170, 21.31°, I = 25
- d 3.611, 24.65°, I = 48
- d 2.553, 35.15°, I = 1000
- d 2.178, 41.47°, I = 15
- d 2.085, 43.40°, I = 16
- d 1.806, 50.55°, I = 176
- d 1.657, 55.46°, I = 7
- d 1.615, 57.03°, I = 24
- d 1.474, 63.06°, I = 358
- d 1.277, 74.29°, I = 110
- d 1.204, 79.65°, I = 12
- d 1.142, 84.93°, I = 158

***

Q: What is the formula in the third record?
A: CeTlAg2

***

What did the second record say?
For TiMnN2, a cell relaxed with GGA-PBE gives the calculated PXRD pattern in this record (Cu Kα X-rays).
Kinematic intensities with the Lorentz-polarization factor, no thermal factor.

Crystal structure
abc: 2.921 2.921 5.055
angles: 90.19 90.19 59.95
Sites, in units of the cell vectors:
Ti (0.000, 0.000, 0.000)
Mn (0.996, 0.996, 0.500)
N (0.332, 0.332, 0.259)
N (0.663, 0.663, 0.741)

Main lines, sorted by position (2θ from 15° to 90°):
- d 2.529, 35.50°, I = 1000
- d 2.265, 39.79°, I = 32
- d 2.260, 39.90°, I = 49
- d 1.790, 51.02°, I = 423
- d 1.786, 51.16°, I = 431
- d 1.460, 63.74°, I = 241
- d 1.266, 75.03°, I = 68
- d 1.264, 75.17°, I = 141
- d 1.263, 75.25°, I = 42
- d 1.133, 85.77°, I = 43
- d 1.131, 85.90°, I = 95
- d 1.130, 86.08°, I = 132